# 1
For ZnFeAs4Pb4O18, DFT lattice parameters and positions (PBE+U) gives the theoretical powder diffraction line list in this record (CuKα).
Neutral-atom scattering factors, no anomalous dispersion.

Most intense lines, 2θ from 10° to 90°, low angle first:
2θ/deg	I_rel
17.86	71
19.70	50
24.21	81
25.42	100
26.09	71
27.09	51
28.47	67
28.76	58
31.14	67
31.65	68

Cell and atoms:
Cell lengths 6.0780, 8.4780, 8.6435 Å; angles 67.47, 86.48, 88.78 degrees
Atoms (fractional coordinates):
Zn 0.0000 0.0000 0.0000
Fe 0.5000 0.0000 0.0000
As 0.2359 0.9398 0.6812
As 0.3164 0.3992 0.7763
As 0.6836 0.6008 0.2237
As 0.7641 0.0602 0.3188
Pb 0.1602 0.7257 0.3876
Pb 0.2981 0.3156 0.2162
Pb 0.7019 0.6844 0.7838
Pb 0.8398 0.2743 0.6124
O 0.0101 0.8660 0.8160
O 0.0976 0.4713 0.6404
O 0.1698 0.1469 0.5485
O 0.2410 0.8635 0.1217
O 0.2766 0.1819 0.8824
O 0.3051 0.4996 0.9131
O 0.3287 0.8216 0.5642
O 0.4330 0.5490 0.3359
O 0.4675 0.9213 0.7981
O 0.5325 0.0787 0.2019
O 0.5670 0.4510 0.6641
O 0.6713 0.1784 0.4358
O 0.6949 0.5004 0.0869
O 0.7234 0.8181 0.1176
O 0.7590 0.1365 0.8783
O 0.8302 0.8531 0.4515
O 0.9024 0.5287 0.3596
O 0.9899 0.1340 0.1840

# 2
For PmFe2AsO6, DFT lattice parameters and positions (PBE+U) gives the theoretical powder diffraction line list in this record (CuKα).
Neutral-atom scattering factors, no anomalous dispersion.

Most intense lines, 2θ from 10° to 90°, low angle first:
2θ/deg	I_rel
22.70	58
22.85	29
31.17	52
31.48	100
33.34	91
33.42	46
46.35	38
50.68	23
58.54	29
59.58	29

Cell and atoms:
Cell lengths 5.3619, 5.3690, 5.7036 Å; angles 62.58, 62.03, 60.18 degrees
Atoms (fractional coordinates):
Pm 0.0000 0.0000 0.0000
Fe 0.2022 0.2096 0.3765
Fe 0.7103 0.7228 0.8332
As 0.5096 0.5210 0.4499
O 0.1534 0.7707 0.6441
O 0.3327 0.5776 0.1992
O 0.4243 0.1678 0.6503
O 0.5738 0.8868 0.1886
O 0.7510 0.4450 0.6482
O 0.8788 0.3436 0.1983

# 3
For PrFeAs2O8, DFT lattice parameters and positions (PBE+U) gives the theoretical powder diffraction line list in this record (CuKα).
Neutral-atom scattering factors, no anomalous dispersion.

Most intense lines, 2θ from 10° to 90°, low angle first:
2θ/deg	I_rel
24.80	100
33.68	62
35.36	20
49.63	57
50.87	15
57.40	13
62.41	18
65.12	11
73.82	12
84.59	11

Cell and atoms:
Cell lengths 5.9612, 5.9612, 5.9612 Å; angles 105.95, 105.95, 116.78 degrees
Atoms (fractional coordinates):
Pr 0.0000 0.0000 0.0000
Fe 0.2500 0.7500 0.5000
As 0.5000 0.5000 0.0000
As 0.7500 0.2500 0.5000
O 0.3280 0.1390 0.8109
O 0.3280 0.5171 0.1891
O 0.3865 0.0581 0.3284
O 0.4829 0.6720 0.8109
O 0.7297 0.0581 0.6716
O 0.8610 0.6720 0.1891
O 0.9419 0.2703 0.3284
O 0.9419 0.6135 0.6716

# 4
For Pr4FeAs4Ru3O4, DFT lattice parameters and positions (PBE+U) gives the theoretical powder diffraction line list in this record (CuKα).
Neutral-atom scattering factors, no anomalous dispersion.

Most intense lines, 2θ from 10° to 90°, low angle first:
2θ/deg	I_rel
30.18	100
30.46	13
32.29	28
37.30	32
43.62	43
53.44	39
53.96	39
63.39	14
87.50	19
87.92	10

Cell and atoms:
Cell lengths 4.1504, 4.1504, 16.9020 Å; angles 90.00, 90.00, 90.00 degrees
Atoms (fractional coordinates):
Pr 0.0000 0.5000 0.1784
Pr 0.0000 0.5000 0.6837
Pr 0.5000 0.0000 0.3163
Pr 0.5000 0.0000 0.8216
Fe 0.0000 0.0000 0.5000
As 0.0000 0.5000 0.4216
As 0.0000 0.5000 0.9233
As 0.5000 0.0000 0.0767
As 0.5000 0.0000 0.5784
Ru 0.0000 0.0000 0.0000
Ru 0.5000 0.5000 0.0000
Ru 0.5000 0.5000 0.5000
O 0.0000 0.0000 0.2483
O 0.0000 0.0000 0.7517
O 0.5000 0.5000 0.2485
O 0.5000 0.5000 0.7515

# 5
For Sr2ScFeAsO3, DFT lattice parameters and positions (PBE+U) gives the theoretical powder diffraction line list in this record (CuKα).
Neutral-atom scattering factors, no anomalous dispersion.

Most intense lines, 2θ from 10° to 90°, low angle first:
2θ/deg	I_rel
30.75	100
34.91	20
37.89	17
39.60	17
43.94	37
45.53	11
54.60	27
60.62	9
63.89	11
72.56	11

Cell and atoms:
Cell lengths 4.1213, 4.1213, 16.3818 Å; angles 90.00, 90.00, 90.00 degrees
Atoms (fractional coordinates):
Sr 0.2500 0.2500 0.0830
Sr 0.2500 0.2500 0.3005
Sr 0.7500 0.7500 0.6995
Sr 0.7500 0.7500 0.9170
Sc 0.2500 0.2500 0.8144
Sc 0.7500 0.7500 0.1856
Fe 0.2500 0.7500 0.5000
Fe 0.7500 0.2500 0.5000
As 0.2500 0.2500 0.5989
As 0.7500 0.7500 0.4011
O 0.2500 0.2500 0.9357
O 0.2500 0.7500 0.2051
O 0.2500 0.7500 0.7949
O 0.7500 0.2500 0.2051
O 0.7500 0.2500 0.7949
O 0.7500 0.7500 0.0643

# 6
For Sm2Fe2As2O, DFT lattice parameters and positions (PBE+U) gives the theoretical powder diffraction line list in this record (CuKα).
Neutral-atom scattering factors, no anomalous dispersion.

Most intense lines, 2θ from 10° to 90°, low angle first:
2θ/deg	I_rel
30.58	100
32.18	28
33.82	25
38.37	52
46.16	34
47.58	19
53.29	14
56.39	39
67.34	11
68.45	13

Cell and atoms:
Cell lengths 3.9333, 3.9333, 8.7466 Å; angles 90.00, 90.00, 90.00 degrees
Atoms (fractional coordinates):
Sm 0.0000 0.5000 0.1494
Sm 0.5000 0.0000 0.8506
Fe 0.0000 0.0000 0.5000
Fe 0.5000 0.5000 0.5000
As 0.0000 0.5000 0.6985
As 0.5000 0.0000 0.3015
O 0.5000 0.5000 0.0000

# 7
For Fe2SnAsO6, DFT lattice parameters and positions (PBE+U) gives the theoretical powder diffraction line list in this record (CuKα).
Neutral-atom scattering factors, no anomalous dispersion.

Most intense lines, 2θ from 10° to 90°, low angle first:
2θ/deg	I_rel
22.67	39
23.03	20
31.10	100
31.40	48
33.43	41
33.61	40
33.92	39
46.29	38
50.46	24
58.69	18

Cell and atoms:
Cell lengths 5.2867, 5.3339, 5.7350 Å; angles 90.88, 116.77, 119.37 degrees
Atoms (fractional coordinates):
Fe 0.0000 0.0000 0.0000
Fe 0.0222 0.5135 0.5306
Sn 0.6004 0.3029 0.8988
As 0.5737 0.7904 0.3633
O 0.1123 0.6940 0.2085
O 0.1369 0.8988 0.7240
O 0.4783 0.5835 0.7112
O 0.5184 0.4209 0.2093
O 0.7989 0.1044 0.2027
O 0.8222 0.2425 0.7108

# 8
For Sr2FeAs2O6, DFT lattice parameters and positions (PBE+U) gives the theoretical powder diffraction line list in this record (CuKα).
Neutral-atom scattering factors, no anomalous dispersion.

Most intense lines, 2θ from 10° to 90°, low angle first:
2θ/deg	I_rel
27.83	12
30.08	100
30.19	25
34.78	54
42.08	13
42.29	13
43.13	29
53.41	12
56.50	16
59.60	12

Cell and atoms:
Cell lengths 5.2293, 5.2293, 6.8662 Å; angles 107.14, 107.14, 69.25 degrees
Atoms (fractional coordinates):
Sr 0.2086 0.2086 0.1515
Sr 0.7914 0.7914 0.8485
Fe 0.0000 0.0000 0.5000
As 0.3992 0.3992 0.7682
As 0.6008 0.6008 0.2318
O 0.2254 0.7072 0.2270
O 0.2451 0.2451 0.5175
O 0.2928 0.7746 0.7730
O 0.7072 0.2254 0.2270
O 0.7549 0.7549 0.4825
O 0.7746 0.2928 0.7730

# 9
For TlFeAs2O6, DFT lattice parameters and positions (PBE+U) gives the theoretical powder diffraction line list in this record (CuKα).
Neutral-atom scattering factors, no anomalous dispersion.

Most intense lines, 2θ from 10° to 90°, low angle first:
2θ/deg	I_rel
21.54	28
22.67	19
26.08	100
26.44	49
26.64	48
27.10	35
30.59	29
33.42	20
33.85	23
48.97	19

Cell and atoms:
Cell lengths 7.0051, 7.0051, 7.1916 Å; angles 106.81, 106.81, 88.44 degrees
Atoms (fractional coordinates):
Tl 0.1453 0.8547 0.7500
Tl 0.8547 0.1453 0.2500
Fe 0.2882 0.7118 0.2500
Fe 0.7118 0.2882 0.7500
As 0.2381 0.3465 0.8707
As 0.3465 0.2381 0.3707
As 0.6535 0.7619 0.6293
As 0.7619 0.6535 0.1293
O 0.0121 0.7127 0.2722
O 0.2628 0.6096 0.9567
O 0.2754 0.3687 0.1788
O 0.2873 0.9879 0.2278
O 0.3687 0.2754 0.6788
O 0.3904 0.7372 0.5433
O 0.6096 0.2628 0.4567
O 0.6313 0.7246 0.3212
O 0.7127 0.0121 0.7722
O 0.7246 0.6313 0.8212
O 0.7372 0.3904 0.0433
O 0.9879 0.2873 0.7278

# 10
For V2FeAsO6, DFT lattice parameters and positions (PBE+U) gives the theoretical powder diffraction line list in this record (CuKα).
Neutral-atom scattering factors, no anomalous dispersion.

Most intense lines, 2θ from 10° to 90°, low angle first:
2θ/deg	I_rel
22.82	27
23.52	34
32.26	100
32.57	50
32.90	56
33.63	46
33.75	43
46.61	29
46.91	30
59.28	28

Cell and atoms:
Cell lengths 5.3135, 5.3326, 5.5056 Å; angles 91.33, 118.25, 118.47 degrees
Atoms (fractional coordinates):
V 0.0000 0.0000 0.0000
V 0.0015 0.4811 0.5211
Fe 0.4235 0.7011 0.1508
As 0.4006 0.1375 0.6172
O 0.1003 0.3690 0.2789
O 0.1455 0.2921 0.8108
O 0.4939 0.8596 0.7595
O 0.5089 0.1222 0.3285
O 0.9328 0.8067 0.3166
O 0.9604 0.6694 0.7953

# 11
For VFe2AsO6, DFT lattice parameters and positions (PBE+U) gives the theoretical powder diffraction line list in this record (CuKα).
Neutral-atom scattering factors, no anomalous dispersion.

Most intense lines, 2θ from 10° to 90°, low angle first:
2θ/deg	I_rel
30.95	54
31.36	100
34.86	65
35.20	30
47.01	17
47.64	15
48.08	14
50.82	17
60.35	22
62.87	14

Cell and atoms:
Cell lengths 5.0995, 5.1429, 5.7806 Å; angles 63.73, 89.41, 60.43 degrees
Atoms (fractional coordinates):
V 0.0000 0.0000 0.0000
Fe 0.2094 0.5833 0.6128
Fe 0.7099 0.5842 0.1020
As 0.4920 0.0211 0.4581
O 0.1368 0.0655 0.3118
O 0.2582 0.1049 0.8494
O 0.4068 0.4672 0.3091
O 0.6390 0.3949 0.8482
O 0.7999 0.8081 0.3125
O 0.9624 0.7727 0.8589